This entry pairs a crystal structure of MgZn3F8 with its simulated powder diffraction line list. Radiation: λ = 1.5418 Å (Cu Kα). Structure: a structure optimized by DFT (GGA-PBE).
Neutral-atom scattering factors, no anomalous dispersion.

Cell and atoms:
Unit cell a=13.0448 b=3.9452 c=6.7980 alpha=90.00 beta=107.16 gamma=90.00
Space group Cm (No. 8)
Asymmetric unit:
Mg1 0.0000 0.0000 0.0000 (multiplicity 2)
Zn1 0.1042 0.5000 0.4082 (multiplicity 2)
Zn2 0.2029 0.5000 0.9917 (multiplicity 2)
Zn3 0.4001 0.5000 0.4143 (multiplicity 2)
F1 0.0324 0.5000 0.0480 (multiplicity 2)
F2 0.0667 0.0000 0.3333 (multiplicity 2)
F3 0.1571 0.0000 0.9926 (multiplicity 2)
F4 0.1791 0.5000 0.6973 (multiplicity 2)
F5 0.2374 0.5000 0.3137 (multiplicity 2)
F6 0.3662 0.5000 0.0870 (multiplicity 2)
F7 0.4355 0.5000 0.7097 (multiplicity 2)
F8 0.4447 0.0000 0.4091 (multiplicity 2)

Principal peaks in the range 5° ≤ 2θ ≤ 70°, sorted by position:
6.495 Å, 2θ = 13.6°, I = 48, (0 0 1)
3.952 Å, 2θ = 22.5°, I = 18, (2 0 1)
3.761 Å, 2θ = 23.7°, I = 100, (1 1 0)
3.248 Å, 2θ = 27.5°, I = 41, (0 0 2)
3.202 Å, 2θ = 27.9°, I = 29, (4 0 -1)
2.840 Å, 2θ = 31.5°, I = 28, (3 1 -1)
2.173 Å, 2θ = 41.6°, I = 27, (6 0 -1)
2.165 Å, 2θ = 41.7°, I = 25, (0 0 3)
1.973 Å, 2θ = 46.0°, I = 35, (0 2 0)
1.685 Å, 2θ = 54.5°, I = 36, (7 1 -1)

***

This entry pairs a crystal structure of La3Pr5Sb8 with its simulated powder diffraction line list. Radiation: λ = 1.5418 Å (Cu Kα). Structure: a structure optimized by DFT (GGA-PBE).
Neutral-atom scattering factors, no anomalous dispersion.

Cell and atoms:
Unit cell a=9.1695 b=9.1695 c=22.4579 alpha=90.00 beta=90.00 gamma=120.00
Space group R-3m (No. 166, hexagonal axes)
Asymmetric unit:
La1 0.0000 0.5000 0.0000 (multiplicity 9)
Pr1 0.0000 0.0000 0.0000 (multiplicity 3)
Pr2 0.0000 0.0000 0.5000 (multiplicity 3)
Pr3 0.0000 0.5000 0.5000 (multiplicity 9)
Sb1 0.0000 0.0000 0.2492 (multiplicity 6)
Sb2 0.0010 0.5005 0.7505 (multiplicity 18)

Principal peaks in the range 5° ≤ 2θ ≤ 70°, sorted by position:
3.743 Å, 2θ = 23.8°, I = 1, (0 0 6)
3.242 Å, 2θ = 27.5°, I = 100, (0 2 4)
2.292 Å, 2θ = 39.3°, I = 77, (2 2 0)
1.955 Å, 2θ = 46.5°, I = 1, (0 2 10)
1.872 Å, 2θ = 48.6°, I = 28, (4 0 4)
1.621 Å, 2θ = 56.8°, I = 13, (0 4 8)
1.450 Å, 2θ = 64.2°, I = 36, (2 4 4)

***

This entry pairs a crystal structure of K3Tb2HfSe6 with its simulated powder diffraction line list. Radiation: λ = 1.5418 Å (Cu Kα). Structure: a structure optimized by DFT (GGA-PBE).
Neutral-atom scattering factors, no anomalous dispersion.

Cell and atoms:
Unit cell a=7.1164 b=12.3291 c=8.0712 alpha=90.00 beta=107.15 gamma=90.00
Space group C2/m (No. 12)
Asymmetric unit:
K1 0.0000 0.0000 0.0000 (multiplicity 2)
K2 0.0000 0.3292 0.0000 (multiplicity 4)
Tb1 0.0000 0.1662 0.5000 (multiplicity 4)
Hf1 0.0000 0.5000 0.5000 (multiplicity 2)
Se1 0.2263 0.3417 0.7041 (multiplicity 8)
Se2 0.2475 0.5000 0.2949 (multiplicity 4)

Principal peaks in the range 5° ≤ 2θ ≤ 70°, sorted by position:
7.712 Å, 2θ = 11.5°, I = 65, (0 0 1)
3.517 Å, 2θ = 25.3°, I = 13, (1 3 0)
3.031 Å, 2θ = 29.5°, I = 100, (1 3 1)
2.422 Å, 2θ = 37.1°, I = 21, (2 0 -3)
2.244 Å, 2θ = 40.2°, I = 35, (2 0 2)
2.055 Å, 2θ = 44.1°, I = 34, (0 6 0)
1.985 Å, 2θ = 45.7°, I = 14, (3 3 -2)
1.811 Å, 2θ = 50.4°, I = 12, (1 3 -4)
1.701 Å, 2θ = 53.9°, I = 17, (4 0 0)
1.515 Å, 2θ = 61.2°, I = 10, (2 6 2)

***

This entry pairs a crystal structure of Ge7Ir3 with its simulated powder diffraction line list. Radiation: λ = 1.5418 Å (Cu Kα). Structure: a structure optimized by DFT (GGA-PBE).
Neutral-atom scattering factors, no anomalous dispersion.

Cell and atoms:
Unit cell a=8.7866 b=8.7866 c=8.7866 alpha=90.00 beta=90.00 gamma=90.00
Space group Im-3m (No. 229)
Asymmetric unit:
Ge1 0.0000 0.2500 0.5000 (multiplicity 12)
Ge2 0.1674 0.1674 0.1674 (multiplicity 16)
Ir1 0.0000 0.0000 0.3401 (multiplicity 12)

Principal peaks in the range 5° ≤ 2θ ≤ 70°, sorted by position:
4.393 Å, 2θ = 20.2°, I = 17, (2 0 0)
3.587 Å, 2θ = 24.8°, I = 53, (2 1 1)
2.536 Å, 2θ = 35.4°, I = 31, (2 2 2)
2.348 Å, 2θ = 38.3°, I = 14, (3 2 1)
2.071 Å, 2θ = 43.7°, I = 100, (3 3 0)
1.873 Å, 2θ = 48.6°, I = 7, (3 3 2)
1.794 Å, 2θ = 50.9°, I = 20, (4 2 2)
1.604 Å, 2θ = 57.4°, I = 8, (5 2 1)
1.464 Å, 2θ = 63.5°, I = 20, (6 0 0)
1.356 Å, 2θ = 69.3°, I = 16, (5 4 1)